No. 1
# TbY2Al7Ag2
Computed XRD peak list, Cu Kα, 1.54184 Å. Input: a structure optimized by DFT (PBE).
Lines closer than 0.1° are merged.

Atomic structure:
```
data_TbY2Al7Ag2
_space_group_name_H-M_alt 'R -3 m'
_space_group_IT_number 166
_space_group_name_Hall '-R 3 2"'
_cell_length_a 5.5534
_cell_length_b 5.5534
_cell_length_c 26.3314
_cell_angle_alpha 90.00
_cell_angle_beta 90.00
_cell_angle_gamma 120.00
loop_
_atom_site_label
_atom_site_type_symbol
_atom_site_fract_x
_atom_site_fract_y
_atom_site_fract_z
Tb1 Tb 0.0000 0.0000 0.0000
Y1 Y 0.0000 0.0000 0.1421
Al1 Al 0.0000 0.0000 0.5000
Al2 Al 0.0081 0.5040 0.9162
Ag1 Ag 0.0000 0.0000 0.3358
```

The 10 most intense peaks (10° ≤ 2θ ≤ 80°), by angle:
8.777 Å, 10.08°, I = 42; 4.389 Å, 20.23°, I = 32; 2.963 Å, 30.16°, I = 15; 2.777 Å, 32.24°, I = 71; 2.647 Å, 33.86°, I = 16; 2.346 Å, 38.36°, I = 100; 2.014 Å, 45.01°, I = 20; 1.506 Å, 61.59°, I = 24; 1.484 Å, 62.61°, I = 16; 1.388 Å, 67.46°, I = 16

---

No. 2
# HoZrMo2C3
Computed XRD peak list, Cu Kα, 1.54184 Å. Input: a structure optimized by DFT (PBE).
Lines closer than 0.1° are merged.

Atomic structure:
```
data_HoZrMo2C3
_space_group_name_H-M_alt 'C 1 m 1'
_space_group_IT_number 8
_cell_length_a 11.3035
_cell_length_b 3.3013
_cell_length_c 5.5672
_cell_angle_alpha 90.00
_cell_angle_beta 109.47
_cell_angle_gamma 90.00
loop_
_space_group_symop_operation_xyz
'x,y,z'
'x,-y,z'
'x+1/2,y+1/2,z'
'x+1/2,-y+1/2,z'
loop_
_atom_site_label
_atom_site_type_symbol
_atom_site_fract_x
_atom_site_fract_y
_atom_site_fract_z
Ho1 Ho 0.0000 0.0000 0.0000
Zr1 Zr 0.2345 0.0000 0.6356
Mo1 Mo 0.2600 0.5000 0.1780
Mo2 Mo 0.4646 0.0000 0.4503
C1 C 0.1165 0.5000 0.3305
C2 C 0.3430 0.0000 0.0617
C3 C 0.3753 0.5000 0.5637
```

The 10 most intense peaks (10° ≤ 2θ ≤ 80°), by angle:
2.745 Å, 32.62°, I = 42; 2.664 Å, 33.64°, I = 45; 2.624 Å, 34.16°, I = 13; 2.593 Å, 34.60°, I = 100; 2.415 Å, 37.24°, I = 89; 2.290 Å, 39.35°, I = 13; 2.094 Å, 43.21°, I = 24; 1.651 Å, 55.68°, I = 16; 1.599 Å, 57.63°, I = 29; 1.566 Å, 58.98°, I = 16

---

No. 3
# CdH6C8I2N4Cl2
Computed XRD peak list, Cu Kα, 1.54184 Å. Input: a structure optimized by DFT (PBE).
Lines closer than 0.1° are merged.

Atomic structure:
```
data_CdH6C8I2N4Cl2
_space_group_name_H-M_alt 'P 1 21/c 1'
_space_group_IT_number 14
_cell_length_a 3.9297
_cell_length_b 10.2088
_cell_length_c 17.5248
_cell_angle_alpha 90.00
_cell_angle_beta 102.57
_cell_angle_gamma 90.00
loop_
_space_group_symop_operation_xyz
'x,y,z'
'-x,-y,-z'
'-x,y+1/2,-z+1/2'
'x,-y+1/2,z+1/2'
loop_
_atom_site_label
_atom_site_type_symbol
_atom_site_fract_x
_atom_site_fract_y
_atom_site_fract_z
Cd1 Cd 0.0000 0.0000 0.0000
H1 H 0.0221 0.2343 0.7188
H2 H 0.0655 0.0471 0.8154
H3 H 0.2416 0.7008 0.0252
C1 C 0.0131 0.6454 0.6708
C2 C 0.0367 0.7489 0.7238
C3 C 0.1818 0.7147 0.0826
C4 C 0.2030 0.6129 0.1369
I1 I 0.3544 0.0753 0.6080
N1 N 0.0850 0.6650 0.6001
N2 N 0.1299 0.6298 0.2068
Cl1 Cl 0.4262 0.6269 0.4262
```

The 10 most intense peaks (10° ≤ 2θ ≤ 80°), by angle:
8.552 Å, 10.34°, I = 83; 5.104 Å, 17.37°, I = 34; 4.978 Å, 17.82°, I = 100; 4.383 Å, 20.26°, I = 33; 3.378 Å, 26.38°, I = 81; 3.244 Å, 27.49°, I = 71; 3.225 Å, 27.66°, I = 31; 3.162 Å, 28.22°, I = 43; 2.244 Å, 40.19°, I = 28; 1.917 Å, 47.42°, I = 39

---

No. 4
# Cs3NbTe2Se2
Computed XRD peak list, Cu Kα, 1.54184 Å. Input: a structure optimized by DFT (PBE).
Lines closer than 0.1° are merged.

Atomic structure:
```
data_Cs3NbTe2Se2
_space_group_name_H-M_alt 'F m m 2'
_space_group_IT_number 42
_space_group_name_Hall 'F 2 -2'
_cell_length_a 12.0095
_cell_length_b 13.4162
_cell_length_c 9.2341
_cell_angle_alpha 90.00
_cell_angle_beta 90.00
_cell_angle_gamma 90.00
loop_
_atom_site_label
_atom_site_type_symbol
_atom_site_fract_x
_atom_site_fract_y
_atom_site_fract_z
Cs1 Cs 0.0000 0.0000 0.0000
Cs2 Cs 0.2500 0.2500 0.1086
Nb1 Nb 0.0000 0.0000 0.5164
Te1 Te 0.0000 0.1676 0.3597
Se1 Se 0.1610 0.0000 0.6702
```

The 10 most intense peaks (10° ≤ 2θ ≤ 80°), by angle:
4.474 Å, 19.84°, I = 42; 3.816 Å, 23.31°, I = 71; 3.660 Å, 24.32°, I = 96; 3.543 Å, 25.14°, I = 29; 3.354 Å, 26.58°, I = 34; 3.213 Å, 27.77°, I = 100; 3.002 Å, 29.76°, I = 37; 2.714 Å, 33.01°, I = 44; 2.013 Å, 45.04°, I = 32; 1.813 Å, 50.33°, I = 29

---

No. 5
# ZnAu7
Computed XRD peak list, Cu Kα, 1.54184 Å. Input: a structure optimized by DFT (PBE).
Lines closer than 0.1° are merged.

Atomic structure:
```
data_ZnAu7
_space_group_name_H-M_alt 'P 4/n m m'
_space_group_IT_number 129
_cell_length_a 2.9354
_cell_length_b 2.9354
_cell_length_c 46.9608
_cell_angle_alpha 90.00
_cell_angle_beta 90.00
_cell_angle_gamma 90.00
loop_
_space_group_symop_operation_xyz
'x,y,z'
'-x,-y,-z'
'-y+1/2,x,z'
'y+1/2,-x,-z'
'-x+1/2,-y+1/2,z'
'x+1/2,y+1/2,-z'
'y,-x+1/2,z'
'-y,x+1/2,-z'
'x+1/2,-y,-z'
'-x+1/2,y,z'
'-y,-x,-z'
'y,x,z'
'-x,y+1/2,-z'
'x,-y+1/2,z'
'y+1/2,x+1/2,-z'
'-y+1/2,-x+1/2,z'
loop_
_atom_site_label
_atom_site_type_symbol
_atom_site_fract_x
_atom_site_fract_y
_atom_site_fract_z
Zn1 Zn 0.2500 0.2500 0.1702
Au1 Au 0.2500 0.2500 0.2547
Au2 Au 0.2500 0.2500 0.3448
Au3 Au 0.2500 0.2500 0.4338
Au4 Au 0.2500 0.2500 0.5221
Au5 Au 0.2500 0.2500 0.6106
Au6 Au 0.2500 0.2500 0.7002
Au7 Au 0.2500 0.2500 0.7914
```

The 10 most intense peaks (10° ≤ 2θ ≤ 80°), by angle:
2.419 Å, 37.17°, I = 100; 2.348 Å, 38.33°, I = 41; 2.135 Å, 42.34°, I = 14; 2.075 Å, 43.62°, I = 48; 1.488 Å, 62.40°, I = 17; 1.468 Å, 63.38°, I = 16; 1.456 Å, 63.96°, I = 15; 1.255 Å, 75.81°, I = 26; 1.250 Å, 76.17°, I = 11; 1.245 Å, 76.55°, I = 12

---

No. 6
# CsAg8
Computed XRD peak list, Cu Kα, 1.54184 Å. Input: a structure optimized by DFT (PBE).
Lines closer than 0.1° are merged.

Atomic structure:
```
data_CsAg8
_space_group_name_H-M_alt 'C m m m'
_space_group_IT_number 65
_space_group_name_Hall '-C 2 2'
_cell_length_a 9.3990
_cell_length_b 16.2651
_cell_length_c 3.1427
_cell_angle_alpha 90.00
_cell_angle_beta 90.00
_cell_angle_gamma 90.00
loop_
_atom_site_label
_atom_site_type_symbol
_atom_site_fract_x
_atom_site_fract_y
_atom_site_fract_z
Cs1 Cs 0.0000 0.0000 0.0000
Ag1 Ag 0.0000 0.1736 0.5000
Ag2 Ag 0.0000 0.3334 0.5000
Ag3 Ag 0.2396 0.4132 0.5000
```

The 10 most intense peaks (10° ≤ 2θ ≤ 80°), by angle:
8.136 Å, 10.87°, I = 19; 4.068 Å, 21.85°, I = 43; 3.143 Å, 28.40°, I = 44; 3.075 Å, 29.04°, I = 16; 2.487 Å, 36.12°, I = 77; 2.349 Å, 38.32°, I = 100; 1.881 Å, 48.38°, I = 55; 1.708 Å, 53.68°, I = 23; 1.381 Å, 67.86°, I = 22; 1.306 Å, 72.35°, I = 29

---

No. 7
# Y3Os
Computed XRD peak list, Cu Kα, 1.54184 Å. Input: a structure optimized by DFT (PBE).
Lines closer than 0.1° are merged.

Atomic structure:
```
data_Y3Os
_space_group_name_H-M_alt 'P n m a'
_space_group_IT_number 62
_cell_length_a 7.4506
_cell_length_b 9.0693
_cell_length_c 6.3141
_cell_angle_alpha 90.00
_cell_angle_beta 90.00
_cell_angle_gamma 90.00
loop_
_space_group_symop_operation_xyz
'x,y,z'
'-x,-y,-z'
'-x+1/2,-y,z+1/2'
'x+1/2,y,-z+1/2'
'x+1/2,-y+1/2,-z+1/2'
'-x+1/2,y+1/2,z+1/2'
'-x,y+1/2,-z'
'x,-y+1/2,z'
loop_
_atom_site_label
_atom_site_type_symbol
_atom_site_fract_x
_atom_site_fract_y
_atom_site_fract_z
Y1 Y 0.0390 0.2500 0.1284
Y2 Y 0.1745 0.0630 0.6660
Os1 Os 0.1184 0.7500 0.4609
```

The 10 most intense peaks (10° ≤ 2θ ≤ 80°), by angle:
4.817 Å, 18.42°, I = 69; 4.535 Å, 19.58°, I = 51; 4.254 Å, 20.88°, I = 90; 2.768 Å, 32.34°, I = 89; 2.619 Å, 34.24°, I = 64; 2.591 Å, 34.62°, I = 57; 2.561 Å, 35.04°, I = 100; 2.347 Å, 38.34°, I = 67; 2.328 Å, 38.68°, I = 63; 2.240 Å, 40.27°, I = 54

---

No. 8
# TbScCS
Computed XRD peak list, Cu Kα, 1.54184 Å. Input: a structure optimized by DFT (PBE).
Lines closer than 0.1° are merged.

Atomic structure:
```
data_TbScCS
_space_group_name_H-M_alt 'P 63 m c'
_space_group_IT_number 186
_space_group_name_Hall 'P 6c -2c'
_cell_length_a 3.5925
_cell_length_b 3.5925
_cell_length_c 12.4881
_cell_angle_alpha 90.00
_cell_angle_beta 90.00
_cell_angle_gamma 120.00
loop_
_atom_site_label
_atom_site_type_symbol
_atom_site_fract_x
_atom_site_fract_y
_atom_site_fract_z
Tb1 Tb 0.3333 0.6667 0.0000
Sc1 Sc 0.3333 0.6667 0.7071
C1 C 0.0000 0.0000 0.1086
S1 S 0.3333 0.6667 0.3434
```

The 10 most intense peaks (10° ≤ 2θ ≤ 80°), by angle:
6.244 Å, 14.18°, I = 46; 3.122 Å, 28.59°, I = 17; 3.111 Å, 28.69°, I = 28; 3.019 Å, 29.59°, I = 54; 2.492 Å, 36.04°, I = 100; 2.204 Å, 40.95°, I = 14; 1.796 Å, 50.83°, I = 28; 1.557 Å, 59.37°, I = 17; 1.457 Å, 63.88°, I = 18; 1.360 Å, 69.07°, I = 14